# 1
Structure and calculated X-ray powder pattern of Ba2LiPdO4 (a crystal structure in Alexandria, relaxed with PBE; Cu Kα (λ = 1.5418 Å)).
Kinematic intensities with the Lorentz-polarization factor, no thermal factor.

Atomic structure:
```
Ba2LiPdO4
1.0
0.0000 6.1072 9.1474
2.4619 0.0000 9.1474
2.4619 6.1072 0.0000
Ba Li Pd O
4 2 2 8
Cartesian
1.8464 4.5804 0.8998 Ba
3.0774 7.6340 5.4735 Ba
1.8464 4.5804 12.8214 Ba
3.0774 7.6340 17.3951 Ba
0.6155 1.5268 2.2869 Li
4.3084 10.6876 16.0080 Li
1.8464 4.5804 6.8606 Pd
3.0774 7.6340 11.4343 Pd
1.7969 2.9666 2.9129 O
3.1270 6.0203 7.4866 O
1.8960 6.1942 2.9129 O
1.8960 2.9666 10.8082 O
3.0278 9.2478 7.4866 O
3.0278 6.0203 15.3820 O
1.7969 6.1942 10.8082 O
3.1270 9.2478 15.3820 O
```

Top 12 peaks for 10 to 90 degrees two-theta, in order of rising 2θ:
two_theta	I_rel
24.4	100
29.2	27
32.1	71
32.8	57
39.5	36
44.0	28
47.5	18
49.1	19
54.2	13
56.7	25
58.9	12
74.1	11


# 2
Structure and calculated X-ray powder pattern of Ba2LiPtO4 (a crystal structure in Alexandria, relaxed with PBE; Cu Kα (λ = 1.5418 Å)).
Kinematic intensities with the Lorentz-polarization factor, no thermal factor.

Atomic structure:
```
Ba2LiPtO4
1.0
0.0000 6.1791 9.1001
2.4870 0.0000 9.1001
2.4870 6.1791 0.0000
Ba Li Pt O
4 2 2 8
Cartesian
1.8653 4.6343 0.8639 Ba
3.1088 7.7239 5.4139 Ba
1.8653 4.6343 12.7863 Ba
3.1088 7.7239 17.3363 Ba
0.6218 1.5448 2.2750 Li
4.3523 10.8135 15.9252 Li
1.8653 4.6343 6.8251 Pt
3.1088 7.7239 11.3751 Pt
1.8333 3.0139 2.8305 O
3.1407 6.1035 7.3805 O
1.8972 6.2548 2.8305 O
1.8972 3.0139 10.8197 O
3.0769 9.3443 7.3805 O
3.0769 6.1035 15.3697 O
1.8333 6.2548 10.8197 O
3.1407 9.3443 15.3697 O
```

Top 12 peaks for 10 to 90 degrees two-theta, in order of rising 2θ:
two_theta	I_rel
24.2	100
28.9	28
31.8	65
32.9	54
39.0	34
43.5	26
47.3	17
49.2	19
53.8	23
56.3	25
58.2	21
62.2	16


# 3
Structure and calculated X-ray powder pattern of Ba2Li2PuO6 (a crystal structure in Alexandria, relaxed with PBE; Cu Kα (λ = 1.5418 Å)).
Kinematic intensities with the Lorentz-polarization factor, no thermal factor.

Atomic structure:
```
Ba2Li2PuO6
1.0
2.9937 1.7284 5.3860
-2.9937 1.7284 5.3860
0.0000 -3.4568 5.3860
Ba Li Pu O
2 2 1 6
Cartesian
0.0000 0.0000 3.6509 Ba
0.0000 0.0000 12.5071 Ba
0.0000 0.0000 6.8468 Li
0.0000 0.0000 9.3112 Li
0.0000 0.0000 0.0000 Pu
0.0000 -1.8243 6.6637 O
-1.5799 0.9122 6.6637 O
-1.5799 -0.9122 9.4942 O
1.5799 0.9122 6.6637 O
1.5799 -0.9122 9.4942 O
0.0000 1.8243 9.4942 O
```

Top 12 peaks for 10 to 90 degrees two-theta, in order of rising 2θ:
two_theta	I_rel
18.0	100
28.0	80
29.8	90
32.7	56
35.1	18
41.4	48
44.8	22
51.9	30
53.0	19
54.8	28
60.1	28
62.0	17


# 4
Structure and calculated X-ray powder pattern of Ba2LiRuO4 (a crystal structure in Alexandria, relaxed with PBE; Cu Kα (λ = 1.5418 Å)).
Kinematic intensities with the Lorentz-polarization factor, no thermal factor.

Atomic structure:
```
Ba2LiRuO4
1.0
0.0000 6.1300 9.4915
2.3845 0.0000 9.4915
2.3845 6.1300 0.0000
Ba Li Ru O
4 2 2 8
Cartesian
1.7884 4.5975 0.9416 Ba
2.9806 7.6625 5.6874 Ba
1.7884 4.5975 13.2957 Ba
2.9806 7.6625 18.0414 Ba
1.7884 4.5975 7.1186 Li
2.9806 7.6625 11.8644 Li
0.5961 1.5325 2.3729 Ru
4.1729 10.7274 16.6102 Ru
1.6513 2.9746 3.1645 O
3.1177 6.0396 7.9102 O
1.9255 6.2203 3.1645 O
1.9255 2.9746 11.0728 O
2.8435 9.2853 7.9102 O
2.8435 6.0396 15.8186 O
1.6513 6.2203 11.0728 O
3.1177 9.2853 15.8186 O
```

Top 12 peaks for 10 to 90 degrees two-theta, in order of rising 2θ:
two_theta	I_rel
20.5	100
24.5	20
29.1	87
31.0	44
31.8	93
32.1	29
37.4	50
40.6	49
47.8	36
48.1	21
53.4	21
56.9	35


# 5
Structure and calculated X-ray powder pattern of Ba2LiZn2S2O2 (a crystal structure in Alexandria, relaxed with PBE; Cu Kα (λ = 1.5418 Å)).
Kinematic intensities with the Lorentz-polarization factor, no thermal factor.

Atomic structure:
```
Ba2LiZn2S2O2
1.0
6.1860 0.0000 0.0000
0.0000 3.9933 0.0000
-1.3546 0.0000 7.4135
Ba Li Zn S O
2 1 2 2 2
Cartesian
0.0000 0.0000 0.0000 Ba
1.6331 0.0000 4.6427 Ba
3.0904 0.0000 1.8231 Li
1.6422 1.9967 7.3019 Zn
4.7386 1.9967 4.6703 Zn
1.7634 1.9967 1.9212 S
4.7786 0.0000 3.4542 S
0.1518 1.9967 5.9200 O
3.2595 1.9967 6.1067 O
```

Top 12 peaks for 10 to 90 degrees two-theta, in order of rising 2θ:
two_theta	I_rel
11.9	50
24.0	24
28.2	47
29.4	35
29.7	27
30.4	100
34.3	63
36.4	20
41.7	20
45.4	23
52.6	21
54.1	36


# 6
Structure and calculated X-ray powder pattern of Ba2LiZn2S2O2 (a crystal structure in Alexandria, relaxed with PBE; Cu Kα (λ = 1.5418 Å)).
Kinematic intensities with the Lorentz-polarization factor, no thermal factor.

Atomic structure:
```
Ba2LiZn2S2O2
1.0
6.3520 -2.0772 0.0000
6.3520 2.0772 0.0000
-5.1527 0.0000 7.0824
Ba Li Zn S O
2 1 2 2 2
Cartesian
0.0000 0.0000 0.0000 Ba
4.7621 0.0000 4.0718 Ba
7.4395 0.0000 2.0925 Li
1.0773 0.0000 4.0606 Zn
3.9129 0.0000 0.2849 Zn
9.0509 0.0000 0.2575 S
8.6544 0.0000 4.1488 S
-0.3176 0.0000 5.4764 O
5.5524 0.0000 1.4553 O
```

Top 12 peaks for 10 to 90 degrees two-theta, in order of rising 2θ:
two_theta	I_rel
14.1	26
23.7	48
25.1	100
28.7	34
29.2	27
30.3	74
31.8	40
33.9	81
37.9	54
43.6	36
51.0	28
51.7	38


# 7
Structure and calculated X-ray powder pattern of Ba2LiZn2S2O2 (a crystal structure in Alexandria, relaxed with PBE; Cu Kα (λ = 1.5418 Å)).
Kinematic intensities with the Lorentz-polarization factor, no thermal factor.

Atomic structure:
```
Ba2LiZn2S2O2
1.0
7.4058 -1.9842 0.0000
7.4058 1.9842 0.0000
-0.4109 0.0000 6.3524
Ba Li Zn S O
2 1 2 2 2
Cartesian
0.0000 0.0000 0.0000 Ba
9.5444 0.0000 3.3364 Ba
12.2033 0.0000 2.1205 Li
3.9850 0.0000 0.3760 Zn
5.6225 0.0000 3.8726 Zn
10.0629 0.0000 0.1590 S
14.3827 0.0000 3.1842 S
4.1614 0.0000 2.5201 O
5.3408 0.0000 5.8403 O
```

Top 12 peaks for 10 to 90 degrees two-theta, in order of rising 2θ:
two_theta	I_rel
27.0	31
27.1	40
27.4	39
28.1	61
28.7	27
28.9	100
38.0	15
39.9	41
41.6	26
45.7	22
48.8	18
54.5	18